Starting from DFT lattice parameters and positions (GGA-PBE), the powder diffractogram of NpTeH2 was simulated for a wavelength of 1.5418 Å.

Structure:
Cell: 3.7687 3.7687 14.1397 Å, 90.00 90.00 120.00°
Space group R-3m (No. 166, hexagonal axes)
One atom of each set of equivalent atoms:
Np 0.0000 0.0000 0.0000
Te 0.0000 0.0000 0.5000
H 0.0000 0.0000 0.3027

Main lines, low angle first (2θ from 15° to 90°):
index	two_theta	I/Imax
0 0 3	18.83	10
1 0 1	28.06	11
0 1 2	30.16	100
1 0 4	37.51	57
0 0 6	38.19	18
1 1 0	48.30	28
2 0 2	58.00	16
0 1 8	59.47	15
0 2 4	62.71	13
1 1 6	63.18	25
1 2 2	78.75	14
2 1 4	82.89	12

---

Starting from DFT lattice parameters and positions (GGA-PBE), the powder diffractogram of Rb3Hg7Sb4 was simulated for a wavelength of 1.5418 Å.

Structure:
Cell: 5.0465 10.4351 10.7338 Å, 68.31 76.51 76.08°
Space group P-1 (No. 2)
One atom of each set of equivalent atoms:
Rb 0.0000 0.0000 0.0000
Rb 0.3144 0.6849 0.6864
Hg 0.0000 0.5000 0.5000
Hg 0.1773 0.0708 0.5793
Hg 0.3020 0.3642 0.0307
Hg 0.4987 0.2496 0.7481
Sb 0.0832 0.6137 0.2225
Sb 0.3408 0.0255 0.2869

Main lines, low angle first (2θ from 15° to 90°):
index	two_theta	I/Imax
1 -1 1	23.84	32
1 1 3	27.88	100
1 -2 0	28.44	83
1 2 -1	28.65	44
1 3 2	28.86	43
1 -2 1	30.86	39
0 3 3	32.01	64
0 1 4	34.48	24
1 1 4	35.46	28
2 1 1	35.58	97
1 4 2	35.89	37
1 5 -1	52.74	43

---

Starting from DFT lattice parameters and positions (GGA-PBE), the powder diffractogram of HPt4 was simulated for a wavelength of 1.5418 Å.

Structure:
Cell: 8.9387 4.1329 8.1132 Å, 90.00 117.40 90.00°
Space group C2/c (No. 15)
One atom of each set of equivalent atoms:
H 0.0000 0.2364 0.2500
Pt 0.1279 0.4900 0.9442
Pt 0.1301 0.0231 0.6836

Main lines, low angle first (2θ from 15° to 90°):
index	two_theta	I/Imax
3 1 -2	38.40	100
1 1 2	38.59	99
0 2 0	43.81	34
2 0 -4	44.68	33
4 0 0	45.73	32
2 2 -4	64.36	21
4 2 0	65.19	21
1 3 2	77.00	12
5 1 -6	78.00	12
1 1 -6	78.37	13
7 1 -2	79.52	12
5 1 2	79.89	13

---

Starting from DFT lattice parameters and positions (GGA-PBE), the powder diffractogram of Tb2TcN3 was simulated for a wavelength of 1.5418 Å.

Structure:
Cell: 3.3366 3.8379 12.7022 Å, 90.00 90.00 90.00°
Space group Immm (No. 71)
One atom of each set of equivalent atoms:
Tb 0.0000 0.0000 0.1511
Tc 0.0000 0.0000 0.5000
N 0.0000 0.0000 0.3358
N 0.0000 0.5000 0.5000

Main lines, low angle first (2θ from 15° to 90°):
index	two_theta	I/Imax
0 1 3	31.46	98
1 0 3	34.22	92
1 1 0	35.66	100
0 0 6	42.71	29
1 1 4	46.00	16
0 2 0	47.37	25
2 0 0	55.04	16
1 1 6	56.82	39
1 2 3	59.73	37
2 1 3	64.79	26
0 2 6	65.67	14
2 2 0	75.51	12

---

Starting from DFT lattice parameters and positions (GGA-PBE), the powder diffractogram of Th2Mg5Zn12 was simulated for a wavelength of 1.5418 Å.

Structure:
Cell: 9.2928 9.2928 13.8464 Å, 90.00 90.00 120.00°
Space group R-3m (No. 166, hexagonal axes)
One atom of each set of equivalent atoms:
Th 0.0000 0.0000 0.1570
Mg 0.0000 0.0000 0.3999
Mg 0.0000 0.5000 0.0000
Zn 0.0000 0.2937 0.5000
Zn 0.0142 0.5071 0.6480

Main lines, low angle first (2θ from 15° to 90°):
index	two_theta	I/Imax
2 0 2	25.61	11
1 1 3	27.23	30
2 1 1	30.08	13
3 0 0	33.40	29
0 2 4	34.17	32
0 3 3	38.81	100
0 0 6	39.03	20
2 0 5	39.46	14
3 0 6	52.29	12
4 1 3	56.03	12
3 3 3	63.34	12
0 3 9	70.59	15

---

Starting from DFT lattice parameters and positions (GGA-PBE), the powder diffractogram of Na3Ce3CdS8 was simulated for a wavelength of 1.5418 Å.

Structure:
Cell: 8.0837 8.0837 19.9401 Å, 90.00 90.00 120.00°
Space group R-3m (No. 166, hexagonal axes)
One atom of each set of equivalent atoms:
Na 0.0000 0.5000 0.0000
Ce 0.0000 0.5000 0.5000
Cd 0.0000 0.0000 0.5000
S 0.0000 0.0000 0.2442
S 0.0032 0.5016 0.7589

Main lines, low angle first (2θ from 15° to 90°):
index	two_theta	I/Imax
0 2 1	25.84	42
2 0 2	27.00	21
0 2 4	31.22	100
2 0 5	34.08	16
0 2 7	40.84	19
2 0 8	44.63	34
2 2 0	44.85	35
2 2 3	47.00	21
2 2 6	53.06	12
4 0 4	55.66	18
2 2 12	73.83	14
2 4 4	74.15	15

---

Starting from DFT lattice parameters and positions (GGA-PBE), the powder diffractogram of Th3ScSi6 was simulated for a wavelength of 1.5418 Å.

Structure:
Cell: 11.4435 11.4435 11.2742 Å, 90.00 90.00 120.00°
Space group R-3c (No. 167, hexagonal axes)
One atom of each set of equivalent atoms:
Th 0.0000 0.4379 0.2500
Sc 0.0000 0.0000 0.0000
Si 0.0731 0.2167 0.3358

Main lines, low angle first (2θ from 15° to 90°):
index	two_theta	I/Imax
1 1 0	15.49	41
0 1 2	18.10	20
2 0 2	23.91	59
2 1 1	25.05	33
1 1 3	28.41	50
2 2 0	31.27	21
1 3 1	33.56	100
3 1 2	36.36	44
0 2 4	36.68	54
4 1 3	48.57	28
3 1 5	52.49	19
3 3 3	53.91	27